Record 1
This entry pairs a crystal structure of SmHoI2O2 with its calculated X-ray powder pattern. Radiation: Cu Kα (weighted mean of Kα1 and Kα2). Structure: a DFT-relaxed cell (PBE, OQMD).
Kinematic intensities with the Lorentz-polarization factor, no thermal factor.

Top 12 peaks for 2θ from 10° to 90°, low angle first:
hkl 1 0 2, 2θ = 29.9°, intensity 100; hkl 1 1 0, 2θ = 32.0°, intensity 43; hkl 1 0 3, 2θ = 37.3°, intensity 12; hkl 2 0 0, 2θ = 45.9°, intensity 24; hkl 1 1 4, 2θ = 51.8°, intensity 16; hkl 2 1 2, 2θ = 55.8°, intensity 34; hkl 1 1 5, 2θ = 60.6°, intensity 14; hkl 2 0 4, 2θ = 62.2°, intensity 7; hkl 2 2 0, 2θ = 67.0°, intensity 9; hkl 3 0 2, 2θ = 75.1°, intensity 7; hkl 3 1 0, 2θ = 76.2°, intensity 7; hkl 3 1 4, 2θ = 89.4°, intensity 7

Structure:
```
data_SmHoI2O2
_cell_length_a 3.953
_cell_length_b 3.953
_cell_length_c 9.110
_cell_angle_alpha 90.00
_cell_angle_beta 90.00
_cell_angle_gamma 90.00
_symmetry_space_group_name_H-M 'P 4 m m'
_symmetry_Int_Tables_number 99
loop_
_symmetry_equiv_pos_as_xyz
'x,y,z'
'-y,x,z'
'-x,-y,z'
'y,-x,z'
'-x,y,z'
'y,x,z'
'x,-y,z'
'-y,-x,z'
loop_
_atom_site_label
_atom_site_fract_x
_atom_site_fract_y
_atom_site_fract_z
Sm1 0.000 0.000 0.000
Ho1 0.500 0.500 0.246
I1 0.000 0.000 0.453
I2 0.500 0.500 0.793
O1 0.000 0.500 0.129
```



Record 2
This entry pairs a crystal structure of PrHoSbI2 with its calculated X-ray powder pattern. Radiation: Cu Kα (weighted mean of Kα1 and Kα2). Structure: a DFT-relaxed cell (PBE, OQMD).
Kinematic intensities with the Lorentz-polarization factor, no thermal factor.

Top 12 peaks for 2θ from 10° to 90°, low angle first:
hkl 1 0 0, 2θ = 23.3°, intensity 8; hkl 1 0 2, 2θ = 28.2°, intensity 100; hkl 1 0 3, 2θ = 33.3°, intensity 9; hkl 0 1 4, 2θ = 39.5°, intensity 36; hkl 1 1 0, 2θ = 41.0°, intensity 35; hkl 0 0 6, 2θ = 48.0°, intensity 6; hkl 0 2 2, 2θ = 50.5°, intensity 20; hkl 2 0 4, 2θ = 58.3°, intensity 12; hkl 1 1 6, 2θ = 64.9°, intensity 14; hkl 2 1 2, 2θ = 67.0°, intensity 17; hkl 1 2 4, 2θ = 73.7°, intensity 11; hkl 3 0 0, 2θ = 74.7°, intensity 6

Structure:
```
data_PrHoSbI2
_cell_length_a 4.4035
_cell_length_b 4.4035
_cell_length_c 11.3796
_cell_angle_alpha 90.00
_cell_angle_beta 90.00
_cell_angle_gamma 120.00
_symmetry_space_group_name_H-M 'P 3 m 1'
_symmetry_Int_Tables_number 156
loop_
_symmetry_equiv_pos_as_xyz
'x,y,z'
'-y,x-y,z'
'-x+y,-x,z'
'-y,-x,z'
'-x+y,y,z'
'x,x-y,z'
loop_
_atom_site_label
_atom_site_fract_x
_atom_site_fract_y
_atom_site_fract_z
Pr1 0.0000 0.0000 0.0000
Ho1 0.6667 0.3333 0.6964
Sb1 0.3333 0.6667 0.8384
I1 0.0000 0.0000 0.5290
I2 0.6667 0.3333 0.1802
```



Record 3
This entry pairs a crystal structure of SmHoS2I2 with its calculated X-ray powder pattern. Radiation: Cu Kα (weighted mean of Kα1 and Kα2). Structure: a DFT-relaxed cell (PBE, OQMD).
Kinematic intensities with the Lorentz-polarization factor, no thermal factor.

Top 12 peaks for 2θ from 10° to 90°, low angle first:
hkl 0 1 1, 2θ = 18.8°, intensity 100; hkl 1 0 2, 2θ = 28.1°, intensity 92; hkl 1 1 1, 2θ = 28.3°, intensity 50; hkl 0 1 3, 2θ = 32.5°, intensity 12; hkl 0 2 0, 2θ = 33.1°, intensity 33; hkl 0 0 4, 2θ = 37.5°, intensity 16; hkl 1 1 3, 2θ = 39.0°, intensity 42; hkl 2 0 0, 2θ = 42.7°, intensity 16; hkl 1 2 2, 2θ = 43.9°, intensity 54; hkl 2 1 1, 2θ = 47.1°, intensity 18; hkl 0 2 4, 2θ = 50.8°, intensity 14; hkl 2 2 0, 2θ = 55.1°, intensity 15

Structure:
```
data_SmHoS2I2
_cell_length_a 4.232
_cell_length_b 5.416
_cell_length_c 9.604
_cell_angle_alpha 90.00
_cell_angle_beta 90.00
_cell_angle_gamma 90.00
_symmetry_space_group_name_H-M 'P m m 2'
_symmetry_Int_Tables_number 25
loop_
_symmetry_equiv_pos_as_xyz
'x,y,z'
'-x,-y,z'
'-x,y,z'
'x,-y,z'
loop_
_atom_site_label
_atom_site_fract_x
_atom_site_fract_y
_atom_site_fract_z
Sm1 0.000 0.000 0.000
Ho1 0.500 0.500 0.762
S1 0.000 0.500 0.942
S2 0.500 0.000 0.808
I1 0.000 0.500 0.533
I2 0.500 0.000 0.238
```